For FeF3, a structure optimized by DFT (GGA+U) gives the simulated powder X-ray diffraction pattern in this record (Cu Ka).
Neutral-atom scattering factors, no anomalous dispersion.

Peak list (10 most intense, 10 to 90 degrees two-theta, by angle)
two_theta, d_spacing, I/Imax
23.41, 3.801, 100
32.83, 2.728, 15
33.84, 2.649, 8
39.42, 2.286, 13
47.87, 1.900, 22
53.26, 1.720, 25
54.63, 1.680, 13
59.91, 1.544, 7
60.55, 1.529, 7
76.12, 1.251, 7

a = 5.4609 Å, b = 5.4609 Å, c = 5.4609 Å
α = 58.03°, β = 58.03°, γ = 58.03°
Element x y z (fractional)
Fe  0.0000  0.0000  0.0000
Fe  0.5000  0.5000  0.5000
F  0.1624  0.7500  0.3376
F  0.2500  0.6624  0.8376
F  0.3376  0.1624  0.7500
F  0.6624  0.8376  0.2500
F  0.7500  0.3376  0.1624
F  0.8376  0.2500  0.6624

=====

For FeF2, a structure optimized by DFT (GGA+U) gives the simulated powder X-ray diffraction pattern in this record (Cu Ka).
Neutral-atom scattering factors, no anomalous dispersion.

Peak list (10 most intense, 10 to 90 degrees two-theta, by angle)
two_theta, d_spacing, I/Imax
26.28, 3.391, 100
32.72, 2.737, 60
37.85, 2.377, 23
50.62, 1.803, 70
54.10, 1.695, 20
55.11, 1.666, 13
61.12, 1.516, 10
62.06, 1.496, 15
64.68, 1.441, 25
80.89, 1.188, 10

a = 4.7950 Å, b = 4.7950 Å, c = 3.3327 Å
α = 90.00°, β = 90.00°, γ = 90.00°
Element x y z (fractional)
Fe  0.0000  0.0000  0.0000
Fe  0.5000  0.5000  0.5000
F  0.1990  0.1990  0.5000
F  0.3010  0.6990  0.0000
F  0.6990  0.3010  0.0000
F  0.8010  0.8010  0.5000

=====

For Fe3F, a structure optimized by DFT (GGA+U) gives the simulated powder X-ray diffraction pattern in this record (Cu Ka).
Neutral-atom scattering factors, no anomalous dispersion.

Peak list (10 most intense, 10 to 90 degrees two-theta, by angle)
two_theta, d_spacing, I/Imax
23.12, 3.846, 13
32.93, 2.720, 11
40.63, 2.221, 100
47.26, 1.923, 47
53.25, 1.720, 6
58.80, 1.570, 4
69.07, 1.360, 26
73.92, 1.282, 3
83.32, 1.160, 30
87.94, 1.110, 9

a = 3.8465 Å, b = 3.8465 Å, c = 3.8465 Å
α = 90.00°, β = 90.00°, γ = 90.00°
Element x y z (fractional)
Fe  0.0000  0.0000  0.5000
Fe  0.0000  0.5000  0.0000
Fe  0.5000  0.0000  0.0000
F  0.5000  0.5000  0.5000

=====

For FeF3, a structure optimized by DFT (GGA+U) gives the simulated powder X-ray diffraction pattern in this record (Cu Ka).
Neutral-atom scattering factors, no anomalous dispersion.

Peak list (10 most intense, 10 to 90 degrees two-theta, by angle)
two_theta, d_spacing, I/Imax
23.38, 3.805, 100
23.63, 3.766, 47
33.08, 2.708, 15
33.86, 2.647, 12
47.81, 1.902, 22
48.34, 1.883, 10
53.19, 1.722, 13
53.45, 1.714, 13
53.82, 1.703, 11
54.56, 1.682, 13

a = 5.2926 Å, b = 5.2926 Å, c = 5.4669 Å
α = 119.53°, β = 119.53°, γ = 60.11°
Element x y z (fractional)
Fe  0.0000  0.5000  0.0000
Fe  0.5000  0.0000  0.5000
F  0.1543  0.8457  0.2500
F  0.2592  0.3329  0.7595
F  0.3329  0.2592  0.2595
F  0.6671  0.7408  0.7405
F  0.7408  0.6671  0.2405
F  0.8457  0.1543  0.7500

=====

For Fe2H3F2, a structure optimized by DFT (GGA+U) gives the simulated powder X-ray diffraction pattern in this record (Cu Ka).
Neutral-atom scattering factors, no anomalous dispersion.

Peak list (10 most intense, 10 to 90 degrees two-theta, by angle)
two_theta, d_spacing, I/Imax
10.31, 8.584, 100
14.48, 6.116, 8
14.59, 6.070, 47
20.70, 4.292, 21
23.16, 3.840, 35
29.43, 3.035, 8
31.25, 2.862, 8
32.99, 2.715, 13
37.79, 2.381, 8
48.01, 1.895, 7

a = 17.1678 Å, b = 17.1678 Å, c = 8.7156 Å
α = 90.00°, β = 90.00°, γ = 90.00°
Element x y z (fractional)
Fe  0.0001  0.9999  0.1367
Fe  0.9999  0.0001  0.8633
Fe  0.9999  0.4999  0.1367
Fe  0.0001  0.5001  0.8633
Fe  0.5001  0.0001  0.1367
Fe  0.4999  0.9999  0.8633
Fe  0.4999  0.5001  0.1367
Fe  0.5001  0.4999  0.8633
H  0.0000  0.0000  0.5000
H  0.0000  0.5000  0.5000
H  0.1024  0.7245  0.1393
H  0.2245  0.8976  0.8607
H  0.2755  0.6024  0.8607
H  0.3976  0.7755  0.1393
H  0.5000  0.0000  0.5000
H  0.5000  0.5000  0.5000
H  0.6024  0.2245  0.8607
H  0.7245  0.3976  0.1393
H  0.7755  0.1024  0.1393
H  0.8976  0.2755  0.8607
F  0.0000  0.0000  0.3691
F  0.0000  0.0000  0.6309
F  0.0000  0.5000  0.3691
F  0.0000  0.5000  0.6309
F  0.5000  0.0000  0.3691
F  0.5000  0.0000  0.6309
F  0.5000  0.5000  0.3691
F  0.5000  0.5000  0.6309

=====

For MnFeH4O2F5, a structure optimized by DFT (GGA+U) gives the simulated powder X-ray diffraction pattern in this record (Cu Ka).
Neutral-atom scattering factors, no anomalous dispersion.

Peak list (10 most intense, 10 to 90 degrees two-theta, by angle)
two_theta, d_spacing, I/Imax
15.48, 5.723, 100
17.61, 5.036, 30
23.83, 3.734, 36
27.50, 3.243, 37
27.99, 3.188, 39
28.24, 3.160, 52
31.26, 2.862, 35
42.30, 2.137, 22
47.37, 1.919, 17
48.77, 1.867, 39

a = 7.5393 Å, b = 7.5393 Å, c = 6.6731 Å
α = 116.26°, β = 116.26°, γ = 61.21°
Element x y z (fractional)
Mn  0.0000  0.0000  0.0000
Mn  0.5004  0.5004  0.4994
Fe  0.9999  0.5005  0.4995
Fe  0.5005  0.9999  0.4995
H  0.0112  0.8061  0.2917
H  0.1942  0.9890  0.7081
H  0.3059  0.5110  0.0233
H  0.4895  0.6942  0.9758
H  0.5110  0.3059  0.0233
H  0.6942  0.4895  0.9758
H  0.8061  0.0112  0.2917
H  0.9890  0.1942  0.7081
O  0.0698  0.0698  0.7667
O  0.4304  0.4304  0.1256
O  0.5700  0.5700  0.8735
O  0.9306  0.9306  0.2332
F  0.0865  0.6647  0.8249
F  0.1653  0.5857  0.4245
F  0.2484  0.2484  0.5700
F  0.3356  0.9138  0.1747
F  0.4148  0.8353  0.5754
F  0.5857  0.1653  0.4245
F  0.6647  0.0865  0.8249
F  0.7520  0.7520  0.4298
F  0.8353  0.4148  0.5754
F  0.9138  0.3356  0.1747